Theoretical powder X-ray diffraction pattern of LiLuAu2 for Cu Kα, from the PBE geometry in the Materials Project.
Kinematic intensities with the Lorentz-polarization factor, no thermal factor.

Cell and atoms:
```
data_LiLuAu2
_space_group_name_H-M_alt 'F m -3 m'
_space_group_IT_number 225
_space_group_name_Hall '-F 4 2 3'
_cell_length_a 6.7714
_cell_length_b 6.7714
_cell_length_c 6.7714
_cell_angle_alpha 90.00
_cell_angle_beta 90.00
_cell_angle_gamma 90.00
loop_
_atom_site_label
_atom_site_type_symbol
_atom_site_fract_x
_atom_site_fract_y
_atom_site_fract_z
Li1 Li 0.0000 0.0000 0.0000
Lu1 Lu 0.0000 0.0000 0.5000
Au1 Au 0.2500 0.2500 0.2500
```

Main lines, low angle first (10 to 90 degrees two-theta):
2θ (°)	I_rel	index
22.75	20	1 1 1
26.32	18	2 0 0
37.57	100	2 2 0
44.37	11	3 1 1
46.46	5	2 2 2
54.18	18	4 0 0
59.51	5	3 3 1
61.21	7	4 2 0
67.80	36	4 2 2
80.19	12	4 4 0

---

Theoretical powder X-ray diffraction pattern of LiMgSnAu for Cu Kα, from the PBE geometry in the Materials Project.
Kinematic intensities with the Lorentz-polarization factor, no thermal factor.

Cell and atoms:
```
data_LiMgSnAu
_space_group_name_H-M_alt 'F -4 3 m'
_space_group_IT_number 216
_space_group_name_Hall 'F -4 2 3'
_cell_length_a 6.7122
_cell_length_b 6.7122
_cell_length_c 6.7122
_cell_angle_alpha 90.00
_cell_angle_beta 90.00
_cell_angle_gamma 90.00
loop_
_atom_site_label
_atom_site_type_symbol
_atom_site_fract_x
_atom_site_fract_y
_atom_site_fract_z
Li1 Li 0.0000 0.0000 0.0000
Mg1 Mg 0.2500 0.2500 0.2500
Sn1 Sn 0.2500 0.2500 0.7500
Au1 Au 0.0000 0.0000 0.5000
```

Main lines, low angle first (10 to 90 degrees two-theta):
2θ (°)	I_rel	index
22.95	89	1 1 1
26.56	3	2 0 0
37.91	100	2 2 0
44.78	48	3 1 1
54.70	18	4 0 0
60.08	20	3 3 1
68.48	36	4 2 2
73.28	15	5 1 1
81.04	12	4 4 0
85.61	16	5 3 1

---

Theoretical powder X-ray diffraction pattern of Na2LiAu3 for Cu Kα, from the PBE geometry in the Materials Project.
Kinematic intensities with the Lorentz-polarization factor, no thermal factor.

Cell and atoms:
```
data_Na2LiAu3
_space_group_name_H-M_alt 'P 63/m m c'
_space_group_IT_number 194
_space_group_name_Hall '-P 6c 2c'
_cell_length_a 5.6184
_cell_length_b 5.6184
_cell_length_c 8.8348
_cell_angle_alpha 90.00
_cell_angle_beta 90.00
_cell_angle_gamma 120.00
loop_
_atom_site_label
_atom_site_type_symbol
_atom_site_fract_x
_atom_site_fract_y
_atom_site_fract_z
Na1 Na 0.3333 0.6667 0.0684
Li1 Li 0.0000 0.0000 0.0000
Au1 Au 0.1678 0.3357 0.7500
```

Main lines, low angle first (10 to 90 degrees two-theta):
2θ (°)	I_rel	index
20.10	90	0 0 2
20.84	39	1 0 1
35.64	20	1 0 3
36.95	20	2 0 0
37.96	20	1 1 2
38.38	100	2 0 1
42.42	22	2 0 2
48.54	41	2 0 3
65.26	23	2 0 5
70.33	19	2 2 2

---

Theoretical powder X-ray diffraction pattern of LiNdAu2 for Cu Kα, from the PBE geometry in the Materials Project.
Kinematic intensities with the Lorentz-polarization factor, no thermal factor.

Cell and atoms:
```
data_LiNdAu2
_space_group_name_H-M_alt 'F m -3 m'
_space_group_IT_number 225
_space_group_name_Hall '-F 4 2 3'
_cell_length_a 7.0760
_cell_length_b 7.0760
_cell_length_c 7.0760
_cell_angle_alpha 90.00
_cell_angle_beta 90.00
_cell_angle_gamma 90.00
loop_
_atom_site_label
_atom_site_type_symbol
_atom_site_fract_x
_atom_site_fract_y
_atom_site_fract_z
Li1 Li 0.0000 0.0000 0.0000
Nd1 Nd 0.0000 0.0000 0.5000
Au1 Au 0.2500 0.2500 0.2500
```

Main lines, low angle first (10 to 90 degrees two-theta):
2θ (°)	I_rel	index
21.75	16	1 1 1
25.17	25	2 0 0
35.90	100	2 2 0
42.37	8	3 1 1
44.35	8	2 2 2
51.67	18	4 0 0
58.32	10	4 2 0
64.52	37	4 2 2
76.09	12	4 4 0
87.11	17	6 2 0